# ZnInSnAs3
Simulated XRD peak list, CuKα. Input: DFT lattice parameters and positions (PBE).
No peak broadening, texture or thermal motion is included.

The 10 most intense peaks (2θ from 10° to 90°), in order of rising 2θ:
Position (°2θ)	I/Imax	h k l
25.58	100	1 1 -1
42.35	25	0 2 0
42.41	49	5 1 -2
50.13	31	7 1 -1
50.25	15	6 0 -3
61.43	8	6 2 0
67.75	15	1 3 -1
77.43	8	11 1 -2
77.58	12	5 3 -2
83.16	9	7 3 -1

Atomic structure:
a = 14.163 Å, b = 4.264 Å, c = 6.019 Å
α = 90.00°, β = 115.15°, γ = 90.00°
Space group Cm (No. 8)
Symmetry-distinct sites (fractional):
Zn1 0.000 0.000 0.000 (multiplicity 2)
In1 0.338 0.000 0.325 (multiplicity 2)
Sn1 0.165 0.500 0.644 (multiplicity 2)
As1 0.001 0.500 0.214 (multiplicity 2)
As2 0.159 0.000 0.910 (multiplicity 2)
As3 0.343 0.500 0.597 (multiplicity 2)

***

# Hf2Al3Cu
Simulated XRD peak list, CuKα. Input: DFT lattice parameters and positions (PBE).
No peak broadening, texture or thermal motion is included.

The 10 most intense peaks (2θ from 10° to 90°), in order of rising 2θ:
Position (°2θ)	I/Imax	h k l
20.73	50	1 0 1
21.39	36	0 0 3
34.03	100	1 1 0
34.87	58	1 0 4
40.18	28	0 2 1
40.55	93	1 1 3
41.27	47	0 1 5
61.45	23	2 1 4
65.33	22	3 0 3
65.85	23	1 2 5

Atomic structure:
a = 5.2688 Å, b = 5.2688 Å, c = 12.4643 Å
α = 90.00°, β = 90.00°, γ = 120.00°
Space group R-3m (No. 166, hexagonal axes)
Symmetry-distinct sites (fractional):
Hf1 0.0000 0.0000 0.1243 (multiplicity 6)
Al1 0.0000 0.5000 0.0000 (multiplicity 9)
Cu1 0.0000 0.0000 0.5000 (multiplicity 3)

***

# Pu5Ir4
Simulated XRD peak list, CuKα. Input: DFT lattice parameters and positions (PBE).
No peak broadening, texture or thermal motion is included.

The 10 most intense peaks (2θ from 10° to 90°), in order of rising 2θ:
Position (°2θ)	I/Imax	h k l
33.17	100	1 3 2
34.54	59	2 3 1
34.83	35	0 4 2
35.48	19	2 0 2
36.40	20	1 5 1
37.30	19	1 4 2
38.20	28	0 6 0
38.55	27	2 4 1
38.77	33	1 1 3
41.41	52	3 0 1

Atomic structure:
a = 6.835 Å, b = 14.137 Å, c = 7.525 Å
α = 90.00°, β = 90.00°, γ = 90.00°
Space group Pnma (No. 62)
Symmetry-distinct sites (fractional):
Pu1 0.001 0.095 0.170 (multiplicity 8)
Pu2 0.145 0.618 0.335 (multiplicity 8)
Pu3 0.199 0.250 0.471 (multiplicity 4)
Ir1 0.042 0.250 0.871 (multiplicity 4)
Ir2 0.170 0.750 0.631 (multiplicity 4)
Ir3 0.196 0.033 0.542 (multiplicity 8)

***

# Nd2CoSb4
Simulated XRD peak list, CuKα. Input: DFT lattice parameters and positions (PBE).
No peak broadening, texture or thermal motion is included.

The 10 most intense peaks (2θ from 10° to 90°), in order of rising 2θ:
Position (°2θ)	I/Imax	h k l
22.24	17	1 0 1
27.47	24	1 0 2
27.73	21	0 0 3
30.24	61	1 1 1
34.35	100	1 1 2
34.57	67	1 0 3
41.12	64	2 0 0
54.77	35	2 1 3
59.55	21	2 2 0
70.59	24	3 1 2

Atomic structure:
a = 4.391 Å, b = 4.391 Å, c = 9.650 Å
α = 90.00°, β = 90.00°, γ = 90.00°
Space group P-4m2 (No. 115)
Symmetry-distinct sites (fractional):
Nd1 0.000 0.500 0.238 (multiplicity 2)
Co1 0.000 0.000 0.000 (multiplicity 1)
Sb1 0.000 0.000 0.500 (multiplicity 1)
Sb2 0.000 0.500 0.880 (multiplicity 2)
Sb3 0.500 0.500 0.500 (multiplicity 1)

***

# Eu2SiCl2O3
Simulated XRD peak list, CuKα. Input: DFT lattice parameters and positions (PBE).
No peak broadening, texture or thermal motion is included.

The 10 most intense peaks (2θ from 10° to 90°), in order of rising 2θ:
Position (°2θ)	I/Imax	h k l
18.40	45	0 0 2
22.40	20	2 2 0
25.08	38	3 1 0
31.28	100	1 3 2
35.76	28	4 2 0
37.29	14	0 0 4
40.51	20	2 4 2
45.47	17	3 1 4
47.20	13	5 3 0
51.07	25	3 5 2

Atomic structure:
a = 11.229 Å, b = 11.229 Å, c = 9.646 Å
α = 90.00°, β = 90.00°, γ = 90.00°
Space group I4/m (No. 87)
Symmetry-distinct sites (fractional):
Eu1 0.081 0.250 0.227 (multiplicity 16)
Si1 0.097 0.817 0.500 (multiplicity 8)
Cl1 0.000 0.000 0.202 (multiplicity 4)
Cl2 0.000 0.500 0.250 (multiplicity 4)
Cl3 0.096 0.748 0.000 (multiplicity 8)
O1 0.051 0.165 0.500 (multiplicity 8)
O2 0.130 0.755 0.353 (multiplicity 16)

***

# Na2GeO9
Simulated XRD peak list, CuKα. Input: DFT lattice parameters and positions (PBE).
No peak broadening, texture or thermal motion is included.

The 10 most intense peaks (2θ from 10° to 90°), in order of rising 2θ:
Position (°2θ)	I/Imax	h k l
14.83	71	1 0 -1
15.02	100	1 0 1
20.12	86	0 1 1
20.31	95	1 0 2
24.30	33	0 1 2
25.61	47	2 0 0
31.80	27	2 1 0
35.43	30	2 1 -2
38.43	31	0 2 1
40.64	31	1 2 -1

Atomic structure:
a = 6.957 Å, b = 4.787 Å, c = 11.378 Å
α = 90.00°, β = 90.81°, γ = 90.00°
Space group P2_1 (No. 4)
Symmetry-distinct sites (fractional):
Na1 0.166 0.000 0.046 (multiplicity 2)
Na2 0.314 0.734 0.573 (multiplicity 2)
Ge1 0.262 0.442 0.824 (multiplicity 2)
O1 0.127 0.144 0.482 (multiplicity 2)
O2 0.143 0.454 0.692 (multiplicity 2)
O3 0.175 0.495 0.962 (multiplicity 2)
O4 0.200 0.311 0.413 (multiplicity 2)
O5 0.299 0.036 0.859 (multiplicity 2)
O6 0.360 0.854 0.777 (multiplicity 2)
O7 0.384 0.718 0.281 (multiplicity 2)
O8 0.443 0.873 0.184 (multiplicity 2)
O9 0.464 0.802 0.383 (multiplicity 2)

***

# In3Ge6N11
Simulated XRD peak list, CuKα. Input: DFT lattice parameters and positions (PBE).
No peak broadening, texture or thermal motion is included.

The 10 most intense peaks (2θ from 10° to 90°), in order of rising 2θ:
Position (°2θ)	I/Imax	h k l
17.20	24	0 0 1
26.03	29	2 1 1
30.16	64	2 2 1
32.66	89	3 1 1
34.81	33	0 0 2
36.14	100	4 1 0
39.35	15	4 2 0
40.15	16	2 1 2
51.07	31	4 1 2
56.83	15	6 0 1

Atomic structure:
a = 10.240 Å, b = 10.240 Å, c = 5.155 Å
α = 90.00°, β = 90.00°, γ = 90.00°
Space group P4bm (No. 100)
Symmetry-distinct sites (fractional):
In1 0.000 0.000 0.000 (multiplicity 2)
In2 0.186 0.314 0.987 (multiplicity 4)
Ge1 0.080 0.791 0.562 (multiplicity 8)
Ge2 0.121 0.621 0.075 (multiplicity 4)
N1 0.000 0.500 0.166 (multiplicity 2)
N2 0.079 0.182 0.718 (multiplicity 8)
N3 0.099 0.795 0.204 (multiplicity 8)
N4 0.140 0.640 0.717 (multiplicity 4)

***

# LiYF4
Simulated XRD peak list, CuKα. Input: DFT lattice parameters and positions (PBE).
No peak broadening, texture or thermal motion is included.

The 10 most intense peaks (2θ from 10° to 90°), in order of rising 2θ:
Position (°2θ)	I/Imax	h k l
17.27	100	1 0 0
23.46	60	0 1 1
29.13	58	1 1 -1
29.43	56	1 1 1
37.85	21	1 2 0
42.32	21	2 1 -1
42.75	21	2 1 1
47.99	27	0 2 2
49.14	31	2 2 0
54.09	27	0 3 1

Atomic structure:
a = 5.134 Å, b = 5.363 Å, c = 5.361 Å
α = 90.00°, β = 90.85°, γ = 90.00°
Space group P2/c (No. 13)
Symmetry-distinct sites (fractional):
Li1 0.000 0.243 0.250 (multiplicity 2)
Y1 0.500 0.251 0.750 (multiplicity 2)
F1 0.263 0.063 0.059 (multiplicity 4)
F2 0.264 0.436 0.432 (multiplicity 4)

***

# H3S
Simulated XRD peak list, CuKα. Input: DFT lattice parameters and positions (PBE).
No peak broadening, texture or thermal motion is included.

The 5 most intense peaks (2θ from 10° to 90°), in order of rising 2θ:
Position (°2θ)	I/Imax	h k l
34.91	100	1 1 0
50.20	20	2 0 0
62.60	32	2 1 1
73.72	12	2 2 0
84.24	15	3 1 0

Atomic structure:
a = 3.635 Å, b = 3.635 Å, c = 3.635 Å
α = 90.00°, β = 90.00°, γ = 90.00°
Space group Im-3m (No. 229)
Symmetry-distinct sites (fractional):
H1 0.000 0.000 0.500 (multiplicity 6)
S1 0.000 0.000 0.000 (multiplicity 2)

***

# Ta3P
Simulated XRD peak list, CuKα. Input: DFT lattice parameters and positions (PBE).
No peak broadening, texture or thermal motion is included.

The 10 most intense peaks (2θ from 10° to 90°), in order of rising 2θ:
Position (°2θ)	I/Imax	h k l
32.90	39	3 1 1
36.34	100	3 2 1
37.31	44	3 3 0
37.77	60	1 1 2
39.41	33	4 2 0
39.52	20	4 0 1
40.53	80	4 1 1
43.76	28	2 2 2
57.82	21	6 1 1
64.42	44	5 5 0

Atomic structure:
a = 10.225 Å, b = 10.225 Å, c = 5.045 Å
α = 90.00°, β = 90.00°, γ = 90.00°
Space group P4_2/nbc (No. 133, origin choice 2)
Symmetry-distinct sites (fractional):
Ta1 0.049 0.049 0.250 (multiplicity 8)
Ta2 0.104 0.750 0.000 (multiplicity 8)
Ta3 0.157 0.157 0.750 (multiplicity 8)
P1 0.043 0.750 0.500 (multiplicity 8)

***

# Na2ZnP2
Simulated XRD peak list, CuKα. Input: DFT lattice parameters and positions (PBE).
No peak broadening, texture or thermal motion is included.

The 10 most intense peaks (2θ from 10° to 90°), in order of rising 2θ:
Position (°2θ)	I/Imax	h k l
29.07	100	1 0 0
29.88	24	1 0 1
34.43	19	0 0 5
41.58	45	1 1 0
45.66	33	1 0 5
51.55	19	1 0 6
55.04	19	1 1 5
60.26	23	2 0 0
68.27	15	2 1 0
78.75	12	2 1 5

Atomic structure:
a = 3.072 Å, b = 3.072 Å, c = 13.026 Å
α = 90.00°, β = 90.00°, γ = 90.00°
Space group P4/mmm (No. 123)
Symmetry-distinct sites (fractional):
Na1 0.000 0.000 0.124 (multiplicity 2)
Zn1 0.000 0.000 0.500 (multiplicity 1)
P1 0.000 0.000 0.331 (multiplicity 2)